1.
Starting from a cell relaxed with PBE+U, the powder diffractogram of BaMn3Fe3O11 was simulated for Cu Ka.
Neutral-atom scattering factors, no anomalous dispersion.

Peak list (6 most intense, 15° ≤ 2θ ≤ 90°, low angle first)
two_theta, d [Å], I_rel
26.43, 3.372, 484
29.98, 2.980, 530
31.81, 2.813, 916
32.85, 2.726, 1000
37.70, 2.386, 536
54.40, 1.686, 687

Structure:
```
BaMn3Fe3O11
1.0
2.929 -5.193 0.000
2.929 5.193 0.000
0.000 0.000 13.488
Ba Mn Fe O
2 6 6 22
Direct
0.166 0.834 0.500 Ba
0.834 0.166 0.000 Ba
0.001 0.501 0.751 Mn
0.001 0.999 0.752 Mn
0.499 0.999 0.751 Mn
0.501 0.001 0.251 Mn
0.999 0.001 0.252 Mn
0.999 0.499 0.251 Mn
0.171 0.829 0.010 Fe
0.497 0.503 0.108 Fe
0.498 0.502 0.895 Fe
0.502 0.498 0.395 Fe
0.503 0.497 0.608 Fe
0.829 0.171 0.510 Fe
0.147 0.329 0.176 O
0.148 0.328 0.827 O
0.181 0.819 0.168 O
0.183 0.817 0.833 O
0.199 0.347 0.502 O
0.323 0.677 0.673 O
0.324 0.676 0.329 O
0.328 0.148 0.327 O
0.329 0.147 0.676 O
0.347 0.199 0.002 O
0.354 0.646 0.001 O
0.646 0.354 0.501 O
0.653 0.801 0.502 O
0.671 0.853 0.176 O
0.672 0.852 0.827 O
0.676 0.324 0.829 O
0.677 0.323 0.173 O
0.801 0.653 0.002 O
0.817 0.183 0.333 O
0.819 0.181 0.668 O
0.852 0.672 0.327 O
0.853 0.671 0.676 O
```

=====

2.
Starting from a cell relaxed with PBE+U, the powder diffractogram of BaSr7Mn2Fe6O24 was simulated for Cu Ka.
Neutral-atom scattering factors, no anomalous dispersion.

Peak list (6 most intense, 15° ≤ 2θ ≤ 90°, low angle first)
two_theta, d [Å], I_rel
32.23, 2.777, 1000
39.75, 2.267, 143
46.15, 1.967, 254
57.43, 1.605, 253
57.58, 1.601, 125
67.51, 1.387, 145

Structure:
```
BaSr7Mn2Fe6O24
1.0
7.829 0.000 0.000
0.000 5.564 5.562
0.000 -5.564 5.562
Ba Sr Mn Fe O
1 7 2 6 24
Direct
0.000 0.000 0.000 Ba
0.000 0.000 0.501 Sr
0.000 0.501 0.000 Sr
0.000 0.501 0.501 Sr
0.500 0.000 0.000 Sr
0.500 0.000 0.501 Sr
0.500 0.501 0.000 Sr
0.500 0.501 0.501 Sr
0.251 0.750 0.750 Mn
0.749 0.750 0.750 Mn
0.251 0.252 0.252 Fe
0.251 0.252 0.750 Fe
0.251 0.750 0.252 Fe
0.749 0.252 0.252 Fe
0.749 0.252 0.750 Fe
0.749 0.750 0.252 Fe
0.000 0.255 0.255 O
0.000 0.255 0.747 O
0.000 0.746 0.746 O
0.000 0.747 0.255 O
0.251 0.252 0.501 O
0.251 0.501 0.252 O
0.251 0.504 0.750 O
0.251 0.750 0.504 O
0.254 0.001 0.255 O
0.254 0.255 0.001 O
0.254 0.746 0.998 O
0.254 0.998 0.746 O
0.500 0.252 0.252 O
0.500 0.252 0.749 O
0.500 0.749 0.252 O
0.500 0.750 0.750 O
0.746 0.001 0.255 O
0.746 0.255 0.001 O
0.746 0.746 0.998 O
0.746 0.998 0.746 O
0.749 0.252 0.501 O
0.749 0.501 0.252 O
0.749 0.504 0.750 O
0.749 0.750 0.504 O
```